The following is a simulated powder diffractogram of ZrAgPd6. It was derived from a cell relaxed with GGA-PBE, using copper Kα.
Lines closer than 0.1° are merged.

Structural model:
abc: 4.012 4.012 8.078
angles: 90.00 90.00 90.00
Space group P4/mmm (No. 123)
Symmetry-distinct sites (fractional):
Zr 0.000 0.000 0.000 x1
Ag 0.000 0.000 0.500 x1
Pd 0.000 0.500 0.246 x4
Pd 0.500 0.500 0.000 x1
Pd 0.500 0.500 0.500 x1

The 8 most intense peaks (10 to 90 degrees two-theta), low angle first:
2θ/deg	I/Imax	hkl
38.79	1000	1 1 2
44.88	163	0 0 4
45.20	321	2 0 0
65.59	204	2 0 4
65.84	101	2 2 0
78.66	120	1 1 6
79.12	238	3 1 2
83.23	105	2 2 4